[1]
Structure and theoretical powder diffractogram of K2Li3NiO4 (a crystal structure in the Materials Project, relaxed with GGA+U; Cu Kα X-rays).

Structure:
```
data_K2Li3NiO4
_chemical_formula_sum 'K8 Li12 Ni4 O16'
_cell_length_a 5.5456
_cell_length_b 8.7958
_cell_length_c 10.9667
_cell_angle_alpha 90.00
_cell_angle_beta 111.50
_cell_angle_gamma 90.00
_space_group_name_H-M_alt 'P 1 21/c 1'
_space_group_IT_number 14
_space_group_name_Hall '-P 2ybc'
loop_
_atom_site_label
_atom_site_type_symbol
_atom_site_fract_x
_atom_site_fract_y
_atom_site_fract_z
K1 K 0.2084 0.0078 0.3620
K2 K 0.2198 0.2279 0.6084
Li1 Li 0.1243 0.7365 0.6984
Li2 Li 0.1339 0.0059 0.9330
Li3 Li 0.4075 0.5303 0.2995
Ni1 Ni 0.4002 0.7142 0.5622
O1 O 0.2412 0.5516 0.6235
O2 O 0.2465 0.1756 0.8554
O3 O 0.2657 0.6893 0.3802
O4 O 0.2809 0.6076 0.1146
```

Principal peaks in the range 10° ≤ 2θ ≤ 90°, by intensity:
Position (°2θ)	I (rel.)
34.73	100
21.97	90
35.39	82
35.18	65
20.17	63
45.27	51
34.25	50
34.56	46
59.59	39
36.29	38

---

[2]
Structure and theoretical powder diffractogram of KLiWO3 (a crystal structure in the Materials Project, relaxed with GGA+U; Cu Kα X-rays).

Structure:
```
data_KLiWO3
_chemical_formula_sum 'K2 Li2 W2 O6'
_cell_length_a 6.2608
_cell_length_b 5.7086
_cell_length_c 4.2497
_cell_angle_alpha 90.00
_cell_angle_beta 97.36
_cell_angle_gamma 90.00
_space_group_name_H-M_alt 'C 1 m 1'
_space_group_IT_number 8
_space_group_name_Hall 'C -2y'
loop_
_atom_site_label
_atom_site_type_symbol
_atom_site_fract_x
_atom_site_fract_y
_atom_site_fract_z
K1 K 0.0000 0.0000 0.0000
Li1 Li 0.2933 0.0000 0.7072
W1 W 0.0992 0.5000 0.4025
O1 O 0.0773 0.5000 0.9102
O2 O 0.3353 0.2439 0.4224
```

Principal peaks in the range 10° ≤ 2θ ≤ 90°, by intensity:
Position (°2θ)	I (rel.)
21.12	100
31.34	63
28.70	55
46.55	29
43.05	23
50.13	21
46.68	14
54.12	13
55.78	12
65.38	12

---

[3]
Structure and theoretical powder diffractogram of KLiW4O12 (a crystal structure in the Materials Project, relaxed with GGA+U; Cu Kα X-rays).

Structure:
```
data_KLiW4O12
_chemical_formula_sum 'K1 Li1 W4 O12'
_cell_length_a 5.5404
_cell_length_b 5.5404
_cell_length_c 7.8368
_cell_angle_alpha 90.00
_cell_angle_beta 90.00
_cell_angle_gamma 90.00
_space_group_name_H-M_alt 'P 4/m m m'
_space_group_IT_number 123
_space_group_name_Hall '-P 4 2'
loop_
_atom_site_label
_atom_site_type_symbol
_atom_site_fract_x
_atom_site_fract_y
_atom_site_fract_z
K1 K 0.0000 0.0000 0.0000
Li1 Li 0.5000 0.5000 0.5000
W1 W 0.0000 0.5000 0.2514
O1 O 0.0000 0.5000 0.0000
O2 O 0.0000 0.5000 0.5000
O3 O 0.2525 0.2525 0.2535
```

Principal peaks in the range 10° ≤ 2θ ≤ 90°, by intensity:
Position (°2θ)	I (rel.)
22.70	100
32.31	72
52.21	42
57.63	29
46.35	25
72.36	20
67.63	15
39.85	13
76.96	13
81.48	7

---

[4]
Structure and theoretical powder diffractogram of KLiWO3 (a crystal structure in the Materials Project, relaxed with GGA+U; Cu Kα X-rays).

Structure:
```
data_KLiWO3
_chemical_formula_sum 'K1 Li1 W1 O3'
_cell_length_a 4.1381
_cell_length_b 4.1381
_cell_length_c 4.3428
_cell_angle_alpha 90.00
_cell_angle_beta 90.00
_cell_angle_gamma 90.00
_space_group_name_H-M_alt 'P 4/m m m'
_space_group_IT_number 123
_space_group_name_Hall '-P 4 2'
loop_
_atom_site_label
_atom_site_type_symbol
_atom_site_fract_x
_atom_site_fract_y
_atom_site_fract_z
K1 K 0.0000 0.0000 0.0000
Li1 Li 0.0000 0.0000 0.5000
W1 W 0.5000 0.5000 0.5000
O1 O 0.0000 0.5000 0.5000
O2 O 0.5000 0.5000 0.0000
```

Principal peaks in the range 10° ≤ 2θ ≤ 90°, by intensity:
Position (°2θ)	I (rel.)
29.82	100
21.47	64
30.55	52
20.45	41
53.85	39
43.75	33
52.48	23
61.95	22
41.59	19
48.75	17

---

[5]
Structure and theoretical powder diffractogram of KLuMo2O8 (a crystal structure in the Materials Project, relaxed with GGA+U; Cu Kα X-rays).

Structure:
```
data_KLuMo2O8
_chemical_formula_sum 'K4 Lu4 Mo8 O32'
_cell_length_a 10.7031
_cell_length_b 10.2651
_cell_length_c 7.6524
_cell_angle_alpha 90.00
_cell_angle_beta 130.98
_cell_angle_gamma 90.00
_space_group_name_H-M_alt 'C 1 2/c 1'
_space_group_IT_number 15
_space_group_name_Hall '-C 2yc'
loop_
_atom_site_label
_atom_site_type_symbol
_atom_site_fract_x
_atom_site_fract_y
_atom_site_fract_z
K1 K 0.0000 0.1994 0.2500
Lu1 Lu 0.0000 0.2284 0.7500
Mo1 Mo 0.1979 0.4995 0.2376
O1 O 0.0225 0.3887 0.9661
O2 O 0.1246 0.0829 0.6921
O3 O 0.1918 0.4208 0.4415
O4 O 0.2212 0.1591 0.1177
```

Principal peaks in the range 10° ≤ 2θ ≤ 90°, by intensity:
Position (°2θ)	I (rel.)
28.09	100
29.17	79
14.47	66
30.96	35
47.38	22
54.59	18
28.32	15
25.64	15
44.40	14
34.96	14

---

Copy entry 5 word for word.
Structure and theoretical powder diffractogram of KLuMo2O8 (a crystal structure in the Materials Project, relaxed with GGA+U; Cu Kα X-rays).

Structure:
```
data_KLuMo2O8
_chemical_formula_sum 'K4 Lu4 Mo8 O32'
_cell_length_a 10.7031
_cell_length_b 10.2651
_cell_length_c 7.6524
_cell_angle_alpha 90.00
_cell_angle_beta 130.98
_cell_angle_gamma 90.00
_space_group_name_H-M_alt 'C 1 2/c 1'
_space_group_IT_number 15
_space_group_name_Hall '-C 2yc'
loop_
_atom_site_label
_atom_site_type_symbol
_atom_site_fract_x
_atom_site_fract_y
_atom_site_fract_z
K1 K 0.0000 0.1994 0.2500
Lu1 Lu 0.0000 0.2284 0.7500
Mo1 Mo 0.1979 0.4995 0.2376
O1 O 0.0225 0.3887 0.9661
O2 O 0.1246 0.0829 0.6921
O3 O 0.1918 0.4208 0.4415
O4 O 0.2212 0.1591 0.1177
```

Principal peaks in the range 10° ≤ 2θ ≤ 90°, by intensity:
Position (°2θ)	I (rel.)
28.09	100
29.17	79
14.47	66
30.96	35
47.38	22
54.59	18
28.32	15
25.64	15
44.40	14
34.96	14